Structure and calculated X-ray diffraction stick pattern of InBiSe3 (the PBE geometry in Alexandria; Cu Kα (λ = 1.5418 Å)).
Lines closer than 0.1° are merged.

Crystal structure
```
data_InBiSe3
_chemical_formula_sum 'In4 Bi4 Se12'
_cell_length_a 4.012
_cell_length_b 21.205
_cell_length_c 7.209
_cell_angle_alpha 90.00
_cell_angle_beta 90.00
_cell_angle_gamma 90.00
_space_group_name_H-M_alt 'C m c 21'
_space_group_IT_number 36
_space_group_name_Hall 'C 2c -2'
loop_
_atom_site_label
_atom_site_fract_x
_atom_site_fract_y
_atom_site_fract_z
In1 0.000 0.151 0.000
Bi1 0.000 0.340 0.016
Se1 0.000 0.084 0.677
Se2 0.000 0.262 0.377
Se3 0.000 0.410 0.679
```

Most intense lines, 2θ = 10–90°, by angle:
index  2theta  Rel. int.
0 4 0  16.72  48
1 1 1  25.76  37
0 2 2  26.11  26
1 3 1  28.42  39
0 4 2  29.98  24
1 5 1  33.16  100
0 6 2  35.57  40
1 7 1  39.31  32
1 1 3  44.14  50
2 0 0  45.20  23